[1]
Computed powder diffractogram
Compound: ZnS
Radiation: λ = 1.5418 Å (Cu Kα)
Structure: a structure optimized by DFT (GGA-PBE)
Kinematic intensities with the Lorentz-polarization factor, no thermal factor.

Main lines, sorted by position (2θ from 10° to 90°):
d 3.180, 28.06°, intensity 100
d 3.151, 28.32°, intensity 59
d 3.073, 29.06°, intensity 46
d 2.681, 33.43°, intensity 14
d 1.961, 46.29°, intensity 37
d 1.927, 47.18°, intensity 72
d 1.866, 48.80°, intensity 23
d 1.644, 55.94°, intensity 48

Atomic structure:
Cell lengths 3.8531, 3.8531, 31.5126 Å; angles 90.00, 90.00, 120.00 degrees
Space group P3m1 (No. 156)
One atom of each set of equivalent atoms:
1 Zn 0.0000 0.0000 0.0000 (multiplicity 1)
2 Zn 0.0000 0.0000 0.2000 (multiplicity 1)
3 Zn 0.0000 0.0000 0.4000 (multiplicity 1)
4 Zn 0.0000 0.0000 0.7000 (multiplicity 1)
5 Zn 0.3333 0.6667 0.1000 (multiplicity 1)
6 Zn 0.3333 0.6667 0.5000 (multiplicity 1)
7 Zn 0.3333 0.6667 0.8000 (multiplicity 1)
8 Zn 0.6667 0.3333 0.3000 (multiplicity 1)
9 Zn 0.6667 0.3333 0.6000 (multiplicity 1)
10 Zn 0.6667 0.3333 0.9000 (multiplicity 1)
11 S 0.0000 0.0000 0.0749 (multiplicity 1)
12 S 0.0000 0.0000 0.2749 (multiplicity 1)
13 S 0.0000 0.0000 0.4749 (multiplicity 1)
14 S 0.0000 0.0000 0.7749 (multiplicity 1)
15 S 0.3333 0.6667 0.1750 (multiplicity 1)
16 S 0.3333 0.6667 0.5749 (multiplicity 1)
17 S 0.3333 0.6667 0.8749 (multiplicity 1)
18 S 0.6667 0.3333 0.3750 (multiplicity 1)
19 S 0.6667 0.3333 0.6749 (multiplicity 1)
20 S 0.6667 0.3333 0.9749 (multiplicity 1)

[2]
Computed powder diffractogram
Compound: ZnS
Radiation: λ = 1.5418 Å (Cu Kα)
Structure: a structure optimized by DFT (GGA-PBE)
Kinematic intensities with the Lorentz-polarization factor, no thermal factor.

Main lines, sorted by position (2θ from 10° to 90°):
d 3.265, 27.32°, intensity 24
d 3.181, 28.05°, intensity 64
d 3.150, 28.33°, intensity 82
d 3.129, 28.53°, intensity 47
d 2.949, 30.31°, intensity 27
d 1.961, 46.30°, intensity 24
d 1.927, 47.17°, intensity 100
d 1.644, 55.94°, intensity 67

Atomic structure:
Cell lengths 3.8536, 3.8536, 63.0043 Å; angles 90.00, 90.00, 120.00 degrees
Space group P3m1 (No. 156)
One atom of each set of equivalent atoms:
1 Zn 0.0000 0.0000 0.0000 (multiplicity 1)
2 Zn 0.0000 0.0000 0.1000 (multiplicity 1)
3 Zn 0.0000 0.0000 0.2000 (multiplicity 1)
4 Zn 0.0000 0.0000 0.4000 (multiplicity 1)
5 Zn 0.0000 0.0000 0.5000 (multiplicity 1)
6 Zn 0.0000 0.0000 0.7000 (multiplicity 1)
7 Zn 0.0000 0.0000 0.8500 (multiplicity 1)
8 Zn 0.3333 0.6667 0.1500 (multiplicity 1)
9 Zn 0.3333 0.6667 0.3000 (multiplicity 1)
10 Zn 0.3333 0.6667 0.4500 (multiplicity 1)
11 Zn 0.3333 0.6667 0.6000 (multiplicity 1)
12 Zn 0.3333 0.6667 0.7500 (multiplicity 1)
13 Zn 0.3333 0.6667 0.9500 (multiplicity 1)
14 Zn 0.6667 0.3333 0.0500 (multiplicity 1)
15 Zn 0.6667 0.3333 0.2500 (multiplicity 1)
16 Zn 0.6667 0.3333 0.3500 (multiplicity 1)
17 Zn 0.6667 0.3333 0.5500 (multiplicity 1)
18 Zn 0.6667 0.3333 0.6500 (multiplicity 1)
19 Zn 0.6667 0.3333 0.8000 (multiplicity 1)
20 Zn 0.6667 0.3333 0.9000 (multiplicity 1)
21 S 0.0000 0.0000 0.0375 (multiplicity 1)
22 S 0.0000 0.0000 0.1375 (multiplicity 1)
23 S 0.0000 0.0000 0.2375 (multiplicity 1)
24 S 0.0000 0.0000 0.4375 (multiplicity 1)
25 S 0.0000 0.0000 0.5375 (multiplicity 1)
26 S 0.0000 0.0000 0.7375 (multiplicity 1)
27 S 0.0000 0.0000 0.8875 (multiplicity 1)
28 S 0.3333 0.6667 0.1875 (multiplicity 1)
29 S 0.3333 0.6667 0.3375 (multiplicity 1)
30 S 0.3333 0.6667 0.4875 (multiplicity 1)
31 S 0.3333 0.6667 0.6375 (multiplicity 1)
32 S 0.3333 0.6667 0.7875 (multiplicity 1)
33 S 0.3333 0.6667 0.9875 (multiplicity 1)
34 S 0.6667 0.3333 0.0875 (multiplicity 1)
35 S 0.6667 0.3333 0.2875 (multiplicity 1)
36 S 0.6667 0.3333 0.3875 (multiplicity 1)
37 S 0.6667 0.3333 0.5875 (multiplicity 1)
38 S 0.6667 0.3333 0.6875 (multiplicity 1)
39 S 0.6667 0.3333 0.8375 (multiplicity 1)
40 S 0.6667 0.3333 0.9375 (multiplicity 1)

[3]
Computed powder diffractogram
Compound: ZnS
Radiation: λ = 1.5418 Å (Cu Kα)
Structure: a structure optimized by DFT (GGA-PBE)
Kinematic intensities with the Lorentz-polarization factor, no thermal factor.

Main lines, sorted by position (2θ from 10° to 90°):
d 3.202, 27.86°, intensity 5
d 3.148, 28.35°, intensity 100
d 2.726, 32.86°, intensity 11
d 1.927, 47.15°, intensity 66
d 1.644, 55.94°, intensity 44
d 1.363, 68.89°, intensity 8
d 1.251, 76.11°, intensity 14
d 1.113, 87.70°, intensity 19

Atomic structure:
Cell lengths 3.8543, 3.8543, 56.6748 Å; angles 90.00, 90.00, 120.00 degrees
Space group P3m1 (No. 156)
One atom of each set of equivalent atoms:
1 Zn 0.0000 0.0000 0.0000 (multiplicity 1)
2 Zn 0.0000 0.0000 0.1111 (multiplicity 1)
3 Zn 0.0000 0.0000 0.3333 (multiplicity 1)
4 Zn 0.0000 0.0000 0.5000 (multiplicity 1)
5 Zn 0.0000 0.0000 0.6667 (multiplicity 1)
6 Zn 0.0000 0.0000 0.8333 (multiplicity 1)
7 Zn 0.3333 0.6667 0.0556 (multiplicity 1)
8 Zn 0.3333 0.6667 0.2222 (multiplicity 1)
9 Zn 0.3333 0.6667 0.3889 (multiplicity 1)
10 Zn 0.3333 0.6667 0.5556 (multiplicity 1)
11 Zn 0.3333 0.6667 0.7222 (multiplicity 1)
12 Zn 0.3333 0.6667 0.8889 (multiplicity 1)
13 Zn 0.6667 0.3333 0.1667 (multiplicity 1)
14 Zn 0.6667 0.3333 0.2778 (multiplicity 1)
15 Zn 0.6667 0.3333 0.4444 (multiplicity 1)
16 Zn 0.6667 0.3333 0.6111 (multiplicity 1)
17 Zn 0.6667 0.3333 0.7778 (multiplicity 1)
18 Zn 0.6667 0.3333 0.9444 (multiplicity 1)
19 S 0.0000 0.0000 0.0416 (multiplicity 1)
20 S 0.0000 0.0000 0.1528 (multiplicity 1)
21 S 0.0000 0.0000 0.3750 (multiplicity 1)
22 S 0.0000 0.0000 0.5417 (multiplicity 1)
23 S 0.0000 0.0000 0.7083 (multiplicity 1)
24 S 0.0000 0.0000 0.8750 (multiplicity 1)
25 S 0.3333 0.6667 0.0973 (multiplicity 1)
26 S 0.3333 0.6667 0.2639 (multiplicity 1)
27 S 0.3333 0.6667 0.4306 (multiplicity 1)
28 S 0.3333 0.6667 0.5972 (multiplicity 1)
29 S 0.3333 0.6667 0.7639 (multiplicity 1)
30 S 0.3333 0.6667 0.9306 (multiplicity 1)
31 S 0.6667 0.3333 0.2083 (multiplicity 1)
32 S 0.6667 0.3333 0.3194 (multiplicity 1)
33 S 0.6667 0.3333 0.4861 (multiplicity 1)
34 S 0.6667 0.3333 0.6528 (multiplicity 1)
35 S 0.6667 0.3333 0.8195 (multiplicity 1)
36 S 0.6667 0.3333 0.9861 (multiplicity 1)